Theoretical powder diffractogram
Compound: CrHg
Radiation: copper Kα
Structure: a crystal structure in Alexandria, relaxed with GGA-PBE
Lines closer than 0.1° are merged.

Cell and atoms:
```
data_CrHg
_chemical_formula_sum 'Cr6 Hg6'
_cell_length_a 4.3906
_cell_length_b 9.0493
_cell_length_c 5.6525
_cell_angle_alpha 90.00
_cell_angle_beta 90.00
_cell_angle_gamma 90.00
_space_group_name_H-M_alt 'A m m 2'
_space_group_IT_number 38
loop_
_space_group_symop_operation_xyz
'x,y,z'
'-x,-y,z'
'-x,y,z'
'x,-y,z'
'x,y+1/2,z+1/2'
'-x,-y+1/2,z+1/2'
'-x,y+1/2,z+1/2'
'x,-y+1/2,z+1/2'
loop_
_atom_site_label
_atom_site_fract_x
_atom_site_fract_y
_atom_site_fract_z
Cr1 0.0000 0.0000 0.0000
Cr2 0.5000 0.1101 0.0909
Hg1 0.0000 0.2126 0.3567
Hg2 0.5000 0.0000 0.6050
```

Most intense lines, 2θ from 5° to 70°, by angle:
d_spacing, 2θ (°), Rel. int.
3.238, 27.5, 23
3.151, 28.3, 100
2.661, 33.7, 30
2.397, 37.5, 62
2.376, 37.9, 83
2.276, 39.6, 54
2.195, 41.1, 40
1.693, 54.2, 15
1.619, 56.9, 37
1.604, 57.4, 23